Diffraction record for Ba3Mn2CrO8. The powder X-ray diffraction pattern is calculated, not measured: it uses DFT lattice parameters and positions (PBE+U) and CuKα.
No peak broadening, texture or thermal motion is included.

Largest 10 diffraction maxima, most intense first, 5° ≤ 2θ ≤ 70°:
hkl 1 1 0, 2θ = 30.8°, rel. 100.0; hkl 0 1 2, 2θ = 29.7°, rel. 78.3; hkl 2 0 2, 2θ = 43.3°, rel. 44.1; hkl 1 2 2, 2θ = 54.1°, rel. 29.0; hkl 1 0 1, 2θ = 21.3°, rel. 26.8; hkl 3 0 0, 2θ = 54.7°, rel. 18.7; hkl 0 2 1, 2θ = 37.7°, rel. 18.4; hkl 2 2 0, 2θ = 64.1°, rel. 16.1; hkl 1 1 3, 2θ = 48.0°, rel. 14.3; hkl 1 0 4, 2θ = 52.1°, rel. 11.8

Structural model:
```
Ba3Mn2CrO8
1.0
5.8129 0.0000 0.0000
-2.9064 5.0341 0.0000
0.0000 0.0000 7.4931
Ba Mn Cr O
3 2 1 8
Cartesian
0.0000 0.0000 0.0000
0.0000 3.3561 4.8918
2.9064 1.6780 2.6014
0.0000 3.3561 1.6814
2.9064 1.6780 5.8117
0.0000 0.0000 3.7466
0.0000 1.6393 2.4930
-1.4868 4.2145 2.4930
1.4196 0.8196 5.0001
0.0000 3.3561 7.4163
2.9064 1.6780 0.0768
1.4868 4.2145 2.4930
4.3932 0.8196 5.0001
2.9064 3.3948 5.0001
```